Structure and computed powder diffractogram of Os2O3F7 (DFT lattice parameters and positions (GGA-PBE); Cu Kα).

Structure:
```
data_Os2O3F7
_chemical_formula_sum 'Os8 O12 F28'
_cell_length_a 5.7341
_cell_length_b 10.3918
_cell_length_c 12.6613
_cell_angle_alpha 90.00
_cell_angle_beta 100.22
_cell_angle_gamma 90.00
_symmetry_space_group_name_H-M 'P 1 21/c 1'
_symmetry_Int_Tables_number 14
loop_
_symmetry_equiv_pos_as_xyz
'x,y,z'
'-x,-y,-z'
'-x,y+1/2,-z+1/2'
'x,-y+1/2,z+1/2'
loop_
_atom_site_label
_atom_site_type_symbol
_atom_site_fract_x
_atom_site_fract_y
_atom_site_fract_z
Os1 Os 0.0088 0.2494 0.0012
Os2 Os 0.3438 0.5117 0.7165
O1 O 0.4025 0.0745 0.3328
O2 O 0.4760 0.6566 0.7496
O3 O 0.4786 0.5585 0.3621
F1 F 0.0275 0.5551 0.7240
F2 F 0.0908 0.6688 0.1316
F3 F 0.1023 0.1564 0.1392
F4 F 0.1896 0.5978 0.5533
F5 F 0.1924 0.1089 0.5572
F6 F 0.2546 0.6838 0.9449
F7 F 0.2701 0.1761 0.9503
```

The 10 most intense peaks (2θ from 15° to 90°), low angle first:
- 2θ 18.19, d = 4.876 Å, rel. 22
- 2θ 19.26, d = 4.609 Å, rel. 67
- 2θ 20.28, d = 4.379 Å, rel. 30
- 2θ 22.28, d = 3.990 Å, rel. 100
- 2θ 23.06, d = 3.856 Å, rel. 24
- 2θ 23.27, d = 3.822 Å, rel. 55
- 2θ 28.66, d = 3.115 Å, rel. 16
- 2θ 34.90, d = 2.571 Å, rel. 23
- 2θ 36.22, d = 2.480 Å, rel. 15
- 2θ 39.83, d = 2.263 Å, rel. 13

=====

Structure and computed powder diffractogram of OsO2F4 (DFT lattice parameters and positions (GGA-PBE); Cu Kα).

Structure:
```
data_OsO2F4
_chemical_formula_sum 'Os6 O12 F24'
_cell_length_a 9.5236
_cell_length_b 9.5236
_cell_length_c 11.7835
_cell_angle_alpha 90.00
_cell_angle_beta 90.00
_cell_angle_gamma 120.00
_symmetry_space_group_name_H-M 'P 61'
_symmetry_Int_Tables_number 169
loop_
_symmetry_equiv_pos_as_xyz
'x,y,z'
'x-y,x,z+1/6'
'-y,x-y,z+1/3'
'-x,-y,z+1/2'
'-x+y,-x,z+2/3'
'y,-x+y,z+5/6'
loop_
_atom_site_label
_atom_site_type_symbol
_atom_site_fract_x
_atom_site_fract_y
_atom_site_fract_z
Os1 Os 0.0099 0.5317 0.0000
O1 O 0.0217 0.5746 0.1423
O2 O 0.1892 0.6143 0.4860
F1 F 0.0112 0.2837 0.4752
F2 F 0.0401 0.5570 0.8387
F3 F 0.0572 0.3612 0.0009
F4 F 0.2434 0.6534 0.9918
```

The 10 most intense peaks (2θ from 15° to 90°), low angle first:
- 2θ 18.51, d = 4.794 Å, rel. 100
- 2θ 18.63, d = 4.762 Å, rel. 12
- 2θ 21.55, d = 4.124 Å, rel. 65
- 2θ 24.03, d = 3.703 Å, rel. 33
- 2θ 32.27, d = 2.774 Å, rel. 22
- 2θ 32.50, d = 2.755 Å, rel. 19
- 2θ 35.84, d = 2.505 Å, rel. 10
- 2θ 37.79, d = 2.381 Å, rel. 11
- 2θ 42.39, d = 2.132 Å, rel. 12
- 2θ 51.54, d = 1.773 Å, rel. 12

=====

Structure and computed powder diffractogram of OsO2F3 (DFT lattice parameters and positions (GGA-PBE); Cu Kα).

Structure:
```
data_OsO2F3
_chemical_formula_sum 'Os4 O8 F12'
_cell_length_a 5.6933
_cell_length_b 5.2378
_cell_length_c 12.6546
_cell_angle_alpha 90.00
_cell_angle_beta 100.97
_cell_angle_gamma 90.00
_symmetry_space_group_name_H-M 'P 1 c 1'
_symmetry_Int_Tables_number 7
loop_
_symmetry_equiv_pos_as_xyz
'x,y,z'
'x,-y,z+1/2'
loop_
_atom_site_label
_atom_site_type_symbol
_atom_site_fract_x
_atom_site_fract_y
_atom_site_fract_z
Os1 Os 0.0000 0.0160 0.0000
Os2 Os 0.3632 0.4663 0.7122
O1 O 0.4231 0.3618 0.3291
O2 O 0.4939 0.1777 0.7483
O3 O 0.5491 0.4026 0.1353
O4 O 0.7775 0.1008 0.5560
F1 F 0.0461 0.3721 0.7233
F2 F 0.1316 0.2079 0.1393
F3 F 0.2051 0.2965 0.5516
F4 F 0.2917 0.1269 0.9650
F5 F 0.8515 0.3187 0.9383
F6 F 0.9268 0.1381 0.3626
```

The 10 most intense peaks (2θ from 15° to 90°), low angle first:
- 2θ 15.86, d = 5.589 Å, rel. 25
- 2θ 19.24, d = 4.614 Å, rel. 76
- 2θ 22.20, d = 4.004 Å, rel. 100
- 2θ 23.29, d = 3.819 Å, rel. 99
- 2θ 28.74, d = 3.106 Å, rel. 19
- 2θ 28.98, d = 3.081 Å, rel. 20
- 2θ 34.77, d = 2.580 Å, rel. 16
- 2θ 36.90, d = 2.436 Å, rel. 14
- 2θ 39.57, d = 2.278 Å, rel. 14
- 2θ 52.93, d = 1.730 Å, rel. 19

=====

Structure and computed powder diffractogram of OsO2F2 (DFT lattice parameters and positions (GGA-PBE); Cu Kα).

Structure:
```
data_OsO2F2
_chemical_formula_sum 'Os2 O4 F4'
_cell_length_a 5.7397
_cell_length_b 5.7481
_cell_length_c 7.4875
_cell_angle_alpha 73.78
_cell_angle_beta 69.74
_cell_angle_gamma 62.28
_symmetry_space_group_name_H-M 'P -1'
_symmetry_Int_Tables_number 2
loop_
_symmetry_equiv_pos_as_xyz
'x,y,z'
'-x,-y,-z'
loop_
_atom_site_label
_atom_site_type_symbol
_atom_site_fract_x
_atom_site_fract_y
_atom_site_fract_z
Os1 Os 0.2473 0.2037 0.2501
O1 O 0.1890 0.1578 0.0572
O2 O 0.3068 0.9456 0.4314
F1 F 0.0075 0.5563 0.3010
F2 F 0.4931 0.3591 0.2100
```

The 10 most intense peaks (2θ from 15° to 90°), low angle first:
- 2θ 19.28, d = 4.603 Å, rel. 100
- 2θ 19.40, d = 4.574 Å, rel. 93
- 2θ 20.24, d = 4.387 Å, rel. 83
- 2θ 23.24, d = 3.828 Å, rel. 56
- 2θ 24.70, d = 3.604 Å, rel. 56
- 2θ 25.63, d = 3.476 Å, rel. 48
- 2θ 25.89, d = 3.441 Å, rel. 40
- 2θ 30.16, d = 2.963 Å, rel. 27
- 2θ 31.21, d = 2.866 Å, rel. 23
- 2θ 38.51, d = 2.338 Å, rel. 28